Structure and computed powder XRD pattern of Ba5C2N6 (the GGA-PBE geometry in Alexandria; Cu Kα (λ = 1.5418 Å)).
Neutral-atom scattering factors, no anomalous dispersion.

Top 8 peaks for 2θ = 10–90°, by angle:
hkl	Position (°2θ)	intensity
2 0 -2	21.93	33.3
1 1 -3	24.22	51.6
0 2 1	25.27	73.3
3 1 0	29.84	26.1
3 1 1	30.56	100.0
2 0 4	31.30	51.0
0 2 4	35.44	49.0
4 0 -4	44.71	32.7

Cell and atoms:
```
data_Ba5C2N6
_chemical_formula_sum 'Ba20 C8 N24'
_cell_length_a 9.854
_cell_length_b 7.277
_cell_length_c 14.110
_cell_angle_alpha 90.00
_cell_angle_beta 90.43
_cell_angle_gamma 90.00
_symmetry_space_group_name_H-M 'C 1 2/c 1'
_symmetry_Int_Tables_number 15
_symmetry_space_group_name_Hall '-C 2yc'
loop_
_atom_site_label
_atom_site_fract_x
_atom_site_fract_y
_atom_site_fract_z
Ba1 0.000 0.168 0.250
Ba2 0.037 0.239 0.997
Ba3 0.172 0.392 0.682
C1 0.221 0.472 0.408
N1 0.098 0.443 0.359
N2 0.159 0.018 0.644
N3 0.221 0.491 0.505
```